This entry pairs a crystal structure of ErZnGe with its calculated powder X-ray diffraction pattern. Radiation: copper Kα. Structure: a crystal structure in Alexandria, relaxed with PBE.

Largest 6 diffraction maxima, in order of rising 2θ, 2θ = 10–90°:
24.4 deg, I 18, (1 0 0)
33.7 deg, I 100, (1 0 4)
42.9 deg, I 47, (1 1 0)
55.7 deg, I 24, (2 0 4)
65.4 deg, I 18, (1 1 8)
72.8 deg, I 21, (2 1 4)

Cell lengths 4.214, 4.214, 15.527 Å; angles 90.00, 90.00, 120.00 degrees
Positions (direct):
Er  0.000  0.000  0.000
Er  0.000  0.000  0.250
Er  0.000  0.000  0.500
Er  0.000  0.000  0.750
Zn  0.333  0.667  0.148
Zn  0.333  0.667  0.352
Zn  0.667  0.333  0.648
Zn  0.667  0.333  0.852
Ge  0.333  0.667  0.613
Ge  0.333  0.667  0.887
Ge  0.667  0.333  0.113
Ge  0.667  0.333  0.387